No. 1
Starting from a cell relaxed with GGA-PBE, the powder diffraction line list of Sr2InHg16 was computed for copper Kα.

Largest 6 diffraction maxima, by intensity, 2θ from 10° to 80°:
Position (°2θ)  I_rel
34.20  100
30.48  53
28.70  25
35.33  19
38.65  18
32.57  17

Structural model:
```
data_Sr2InHg16
_chemical_formula_sum 'Sr6 In3 Hg48'
_cell_length_a 10.1504
_cell_length_b 10.1504
_cell_length_c 17.6144
_cell_angle_alpha 90.00
_cell_angle_beta 90.00
_cell_angle_gamma 120.00
_symmetry_space_group_name_H-M 'R 3 m'
_symmetry_Int_Tables_number 160
_symmetry_space_group_name_Hall 'R 3 -2"'
loop_
_atom_site_label
_atom_site_type_symbol
_atom_site_fract_x
_atom_site_fract_y
_atom_site_fract_z
Sr1 Sr 0.0000 0.0000 0.0000
Sr2 Sr 0.0000 0.0000 0.3198
In1 In 0.0000 0.0000 0.6209
Hg1 Hg 0.0000 0.0000 0.7943
Hg2 Hg 0.0014 0.3067 0.6813
Hg3 Hg 0.0371 0.5185 0.5450
Hg4 Hg 0.0926 0.5463 0.8195
Hg5 Hg 0.0939 0.5469 0.1618
```


No. 2
Starting from a cell relaxed with GGA-PBE, the powder diffraction line list of Li2HgF5 was computed for copper Kα.

Largest 6 diffraction maxima, by intensity, 2θ from 10° to 80°:
Position (°2θ)  I_rel
18.68  100
18.80  68
27.79  53
24.56  39
34.01  30
32.80  29

Structural model:
```
data_Li2HgF5
_chemical_formula_sum 'Li8 Hg4 F20'
_cell_length_a 7.9121
_cell_length_b 5.4967
_cell_length_c 10.3020
_cell_angle_alpha 90.00
_cell_angle_beta 113.63
_cell_angle_gamma 90.00
_symmetry_space_group_name_H-M 'P 1 21/c 1'
_symmetry_Int_Tables_number 14
_symmetry_space_group_name_Hall '-P 2ybc'
loop_
_atom_site_label
_atom_site_type_symbol
_atom_site_fract_x
_atom_site_fract_y
_atom_site_fract_z
Li1 Li 0.0890 0.0076 0.3750
Li2 Li 0.4090 0.0092 0.6246
Hg1 Hg 0.0000 0.0000 0.0000
Hg2 Hg 0.5000 0.0000 0.0000
F1 F 0.0255 0.6649 0.6945
F2 F 0.1348 0.1621 0.5838
F3 F 0.2499 0.7460 0.9999
F4 F 0.3649 0.1626 0.4169
F5 F 0.4752 0.6635 0.3054
```


No. 3
Starting from a cell relaxed with GGA-PBE, the powder diffraction line list of Nb2CuBi was computed for copper Kα.

Largest 6 diffraction maxima, by intensity, 2θ from 10° to 80°:
Position (°2θ)  I_rel
33.29  100
49.49  63
41.69  54
34.76  43
55.37  23
72.98  20

Structural model:
```
data_Nb2CuBi
_chemical_formula_sum 'Nb8 Cu4 Bi4'
_cell_length_a 3.9430
_cell_length_b 3.9430
_cell_length_c 20.6475
_cell_angle_alpha 90.00
_cell_angle_beta 90.00
_cell_angle_gamma 90.00
_symmetry_space_group_name_H-M 'I -4 2 d'
_symmetry_Int_Tables_number 122
_symmetry_space_group_name_Hall 'I -4 2bw'
loop_
_atom_site_label
_atom_site_type_symbol
_atom_site_fract_x
_atom_site_fract_y
_atom_site_fract_z
Nb1 Nb 0.2454 0.2500 0.1250
Cu1 Cu 0.0000 0.0000 0.0000
Bi1 Bi 0.0000 0.0000 0.5000
```


No. 4
Starting from a cell relaxed with GGA-PBE, the powder diffraction line list of InBi2Au9 was computed for copper Kα.

Largest 6 diffraction maxima, by intensity, 2θ from 10° to 80°:
Position (°2θ)  I_rel
37.80  100
37.12  58
39.64  52
36.67  43
37.31  40
38.39  32

Structural model:
```
data_InBi2Au9
_chemical_formula_sum 'In1 Bi2 Au9'
_cell_length_a 5.6131
_cell_length_b 5.8079
_cell_length_c 8.1136
_cell_angle_alpha 107.16
_cell_angle_beta 92.55
_cell_angle_gamma 95.48
_symmetry_space_group_name_H-M 'P -1'
_symmetry_Int_Tables_number 2
_symmetry_space_group_name_Hall '-P 1'
loop_
_atom_site_label
_atom_site_type_symbol
_atom_site_fract_x
_atom_site_fract_y
_atom_site_fract_z
In1 In 0.0000 0.0000 0.0000
Bi1 Bi 0.3466 0.2333 0.3871
Au1 Au 0.1691 0.7590 0.4244
Au2 Au 0.1746 0.6309 0.7468
Au3 Au 0.2601 0.5332 0.0761
Au4 Au 0.2820 0.1635 0.7432
Au5 Au 0.5000 0.0000 0.0000
```


No. 5
Starting from a cell relaxed with GGA-PBE, the powder diffraction line list of CsSiBiS4 was computed for copper Kα.

Largest 6 diffraction maxima, by intensity, 2θ from 10° to 80°:
Position (°2θ)  I_rel
18.89  100
24.09  55
29.39  46
30.39  43
23.37  40
27.58  33

Structural model:
```
data_CsSiBiS4
_chemical_formula_sum 'Cs4 Si4 Bi4 S16'
_cell_length_a 9.4620
_cell_length_b 7.0831
_cell_length_c 13.1601
_cell_angle_alpha 90.00
_cell_angle_beta 107.45
_cell_angle_gamma 90.00
_symmetry_space_group_name_H-M 'P 1 21/c 1'
_symmetry_Int_Tables_number 14
_symmetry_space_group_name_Hall '-P 2ybc'
loop_
_atom_site_label
_atom_site_type_symbol
_atom_site_fract_x
_atom_site_fract_y
_atom_site_fract_z
Cs1 Cs 0.0686 0.2483 0.3898
Si1 Si 0.3289 0.7435 0.3516
Bi1 Bi 0.4481 0.6529 0.6305
S1 S 0.1965 0.7396 0.4564
S2 S 0.2877 0.5189 0.2396
S3 S 0.2984 0.0003 0.2625
S4 S 0.4396 0.2083 0.0552
```


No. 6
Starting from a cell relaxed with GGA-PBE, the powder diffraction line list of ErTaPdRu was computed for copper Kα.

Largest 6 diffraction maxima, by intensity, 2θ from 10° to 80°:
Position (°2θ)  I_rel
38.58  100
69.81  35
55.71  17
27.02  7
62.98  3
47.74  2

Structural model:
```
data_ErTaPdRu
_chemical_formula_sum 'Er4 Ta4 Pd4 Ru4'
_cell_length_a 6.5999
_cell_length_b 6.5999
_cell_length_c 6.5999
_cell_angle_alpha 90.00
_cell_angle_beta 90.00
_cell_angle_gamma 90.00
_symmetry_space_group_name_H-M 'F -4 3 m'
_symmetry_Int_Tables_number 216
_symmetry_space_group_name_Hall 'F -4 2 3'
loop_
_atom_site_label
_atom_site_type_symbol
_atom_site_fract_x
_atom_site_fract_y
_atom_site_fract_z
Er1 Er 0.0000 0.0000 0.0000
Ta1 Ta 0.0000 0.0000 0.5000
Pd1 Pd 0.2500 0.2500 0.7500
Ru1 Ru 0.2500 0.2500 0.2500
```


No. 7
Starting from a cell relaxed with GGA-PBE, the powder diffraction line list of SmPaZnRu was computed for copper Kα.

Largest 6 diffraction maxima, by intensity, 2θ from 10° to 80°:
Position (°2θ)  I_rel
36.24  100
65.19  36
52.18  18
25.41  16
76.92  11
58.91  7

Structural model:
```
data_SmPaZnRu
_chemical_formula_sum 'Sm4 Pa4 Zn4 Ru4'
_cell_length_a 7.0113
_cell_length_b 7.0113
_cell_length_c 7.0113
_cell_angle_alpha 90.00
_cell_angle_beta 90.00
_cell_angle_gamma 90.00
_symmetry_space_group_name_H-M 'F -4 3 m'
_symmetry_Int_Tables_number 216
_symmetry_space_group_name_Hall 'F -4 2 3'
loop_
_atom_site_label
_atom_site_type_symbol
_atom_site_fract_x
_atom_site_fract_y
_atom_site_fract_z
Sm1 Sm 0.0000 0.0000 0.0000
Pa1 Pa 0.0000 0.0000 0.5000
Zn1 Zn 0.2500 0.2500 0.7500
Ru1 Ru 0.2500 0.2500 0.2500
```


No. 8
Starting from a cell relaxed with GGA-PBE, the powder diffraction line list of AgAsF6 was computed for copper Kα.

Largest 6 diffraction maxima, by intensity, 2θ from 10° to 80°:
Position (°2θ)  I_rel
26.17  100
21.16  75
49.79  44
32.97  28
33.60  25
55.72  22

Structural model:
```
data_AgAsF6
_chemical_formula_sum 'Ag2 As2 F12'
_cell_length_a 5.3339
_cell_length_b 5.3339
_cell_length_c 10.0772
_cell_angle_alpha 90.00
_cell_angle_beta 90.00
_cell_angle_gamma 120.00
_symmetry_space_group_name_H-M 'P -3 1 c'
_symmetry_Int_Tables_number 163
_symmetry_space_group_name_Hall '-P 3 2c'
loop_
_atom_site_label
_atom_site_type_symbol
_atom_site_fract_x
_atom_site_fract_y
_atom_site_fract_z
Ag1 Ag 0.3333 0.6667 0.2500
As1 As 0.0000 0.0000 0.0000
F1 F 0.0158 0.2800 0.6020
```